Calculated XRD peak list
Compound: Sr2VFeAsO3
Radiation: Cu Kα
Structure: a crystal structure in Alexandria, relaxed with GGA+U
Lines closer than 0.1° are merged.

Cell lengths 4.0122, 4.0122, 16.5097 Å; angles 90.00, 90.00, 90.00 degrees
Space group P4/nmm (No. 129, origin choice 2)
Asymmetric unit:
Sr 0.2500 0.2500 0.0797 x2
Sr 0.2500 0.2500 0.2991 x2
V 0.2500 0.2500 0.8124 x2
Fe 0.2500 0.7500 0.5000 x2
As 0.2500 0.2500 0.6000 x2
O 0.2500 0.2500 0.9336 x2
O 0.2500 0.7500 0.2029 x4

Largest 10 diffraction maxima, by intensity, 10° ≤ 2θ ≤ 90°:
2θ/deg  I (rel.)  hkl
31.09  100  1 0 4
45.20  49  2 0 0
31.53  43  1 1 0
55.87  37  2 1 4
35.60  25  1 1 3
39.72  23  1 0 6
38.51  19  1 1 4
45.95  16  1 1 6
55.03  15  1 1 8
65.84  15  2 2 0